[1]
Diffraction record for RbHS. The XRD peak list is simulated, not measured: it uses a crystal structure in the Materials Project, relaxed with PBE and λ = 1.5418 Å (Cu Kα).
Peak positions follow from Bragg's law for the DFT cell and can differ from measured ones.

Structural model:
```
data_RbHS
_chemical_formula_sum 'Rb2 H2 S2'
_space_group_name_H-M_alt 'P 1'
_space_group_IT_number 1
_cell_length_a 4.613
_cell_length_b 5.224
_cell_length_c 6.989
_cell_angle_alpha 90.00
_cell_angle_beta 101.92
_cell_angle_gamma 90.00
loop_
_space_group_symop_operation_xyz
'x,y,z'
loop_
_atom_site_label
_atom_site_fract_x
_atom_site_fract_y
_atom_site_fract_z
Rb1 0.231 0.250 0.263
Rb2 0.769 0.750 0.737
H1 0.479 0.750 0.106
H2 0.521 0.250 0.894
S1 0.265 0.250 0.759
S2 0.735 0.750 0.241
```

Most intense lines, 10° ≤ 2θ ≤ 90°, in order of rising 2θ:
| 2θ/deg | I/Imax |
| --- | --- |
| 21.23 | 8.9 |
| 21.41 | 18.6 |
| 26.08 | 100.0 |
| 34.08 | 31.7 |
| 34.34 | 16.4 |
| 39.95 | 9.6 |
| 40.13 | 19.6 |
| 43.21 | 10.3 |
| 43.61 | 15.6 |
| 53.66 | 11.6 |
| 56.31 | 12.6 |
| 64.70 | 9.1 |



[2]
Diffraction record for BaCaPrSbO6. The XRD peak list is simulated, not measured: it uses a crystal structure in the Materials Project, relaxed with PBE and λ = 1.5418 Å (Cu Kα).
Peak positions follow from Bragg's law for the DFT cell and can differ from measured ones.

Structural model:
```
data_BaCaPrSbO6
_chemical_formula_sum 'Ba1 Ca1 Pr1 Sb1 O6'
_space_group_name_H-M_alt 'P 1'
_space_group_IT_number 1
_cell_length_a 6.100
_cell_length_b 6.100
_cell_length_c 6.100
_cell_angle_alpha 60.00
_cell_angle_beta 60.00
_cell_angle_gamma 60.00
loop_
_space_group_symop_operation_xyz
'x,y,z'
loop_
_atom_site_label
_atom_site_fract_x
_atom_site_fract_y
_atom_site_fract_z
Ba1 0.000 0.000 0.000
Ca1 0.500 0.500 0.500
Pr1 0.750 0.750 0.750
Sb1 0.250 0.250 0.250
O1 0.018 0.018 0.482
O2 0.018 0.482 0.018
O3 0.018 0.482 0.482
O4 0.482 0.018 0.018
O5 0.482 0.018 0.482
O6 0.482 0.482 0.018
```

Most intense lines, 10° ≤ 2θ ≤ 90°, in order of rising 2θ:
| 2θ/deg | I/Imax |
| --- | --- |
| 17.81 | 10.4 |
| 20.59 | 11.5 |
| 29.28 | 100.0 |
| 34.48 | 6.8 |
| 41.89 | 32.0 |
| 45.85 | 3.4 |
| 47.11 | 4.6 |
| 51.93 | 40.0 |
| 60.73 | 19.6 |
| 68.83 | 18.0 |
| 76.51 | 6.4 |
| 83.94 | 21.1 |



[3]
Diffraction record for Rb3Ru2NCl8O2. The XRD peak list is simulated, not measured: it uses a crystal structure in the Materials Project, relaxed with PBE and λ = 1.5418 Å (Cu Kα).
Peak positions follow from Bragg's law for the DFT cell and can differ from measured ones.

Structural model:
```
data_Rb3Ru2NCl8O2
_chemical_formula_sum 'Rb3 Ru2 N1 Cl8 O2'
_space_group_name_H-M_alt 'P 1'
_space_group_IT_number 1
_cell_length_a 8.675
_cell_length_b 8.675
_cell_length_c 8.596
_cell_angle_alpha 115.73
_cell_angle_beta 115.73
_cell_angle_gamma 55.16
loop_
_space_group_symop_operation_xyz
'x,y,z'
loop_
_atom_site_label
_atom_site_fract_x
_atom_site_fract_y
_atom_site_fract_z
Rb1 0.000 0.000 0.000
Rb2 0.356 0.356 0.464
Rb3 0.644 0.644 0.536
Ru1 0.375 0.375 0.990
Ru2 0.625 0.625 0.010
N1 0.500 0.500 0.000
Cl1 0.110 0.534 0.763
Cl2 0.227 0.646 0.218
Cl3 0.354 0.773 0.782
Cl4 0.466 0.890 0.237
Cl5 0.534 0.110 0.763
Cl6 0.646 0.227 0.218
Cl7 0.773 0.354 0.782
Cl8 0.890 0.466 0.237
O1 0.260 0.260 0.981
O2 0.740 0.740 0.019
```

Most intense lines, 10° ≤ 2θ ≤ 90°, in order of rising 2θ:
| 2θ/deg | I/Imax |
| --- | --- |
| 11.81 | 52.6 |
| 12.85 | 99.3 |
| 22.77 | 76.3 |
| 24.01 | 18.2 |
| 24.91 | 37.8 |
| 25.55 | 16.1 |
| 32.06 | 23.7 |
| 32.25 | 22.7 |
| 32.68 | 100.0 |
| 47.35 | 17.1 |
| 51.64 | 18.2 |
| 57.64 | 18.0 |



[4]
Diffraction record for Dy4Mn. The XRD peak list is simulated, not measured: it uses a crystal structure in the Materials Project, relaxed with PBE and λ = 1.5418 Å (Cu Kα).
Peak positions follow from Bragg's law for the DFT cell and can differ from measured ones.

Structural model:
```
data_Dy4Mn
_chemical_formula_sum 'Dy8 Mn2'
_space_group_name_H-M_alt 'P 1'
_space_group_IT_number 1
_cell_length_a 7.460
_cell_length_b 7.460
_cell_length_c 7.460
_cell_angle_alpha 60.00
_cell_angle_beta 60.00
_cell_angle_gamma 60.00
loop_
_space_group_symop_operation_xyz
'x,y,z'
loop_
_atom_site_label
_atom_site_fract_x
_atom_site_fract_y
_atom_site_fract_z
Dy1 0.219 0.760 0.760
Dy2 0.240 0.240 0.240
Dy3 0.240 0.240 0.781
Dy4 0.240 0.781 0.240
Dy5 0.760 0.219 0.760
Dy6 0.760 0.760 0.219
Dy7 0.760 0.760 0.760
Dy8 0.781 0.240 0.240
Mn1 0.375 0.375 0.375
Mn2 0.625 0.625 0.625
```

Most intense lines, 10° ≤ 2θ ≤ 90°, in order of rising 2θ:
| 2θ/deg | I/Imax |
| --- | --- |
| 29.32 | 100.0 |
| 33.99 | 41.4 |
| 37.15 | 7.9 |
| 44.63 | 9.5 |
| 48.83 | 40.4 |
| 57.98 | 38.7 |
| 60.83 | 9.1 |
| 62.91 | 4.4 |
| 71.54 | 5.6 |
| 73.47 | 4.5 |
| 79.14 | 13.8 |
| 81.62 | 10.3 |



[5]
Diffraction record for Ni5Ge3. The XRD peak list is simulated, not measured: it uses a crystal structure in the Materials Project, relaxed with PBE and λ = 1.5418 Å (Cu Kα).
Peak positions follow from Bragg's law for the DFT cell and can differ from measured ones.

Structural model:
```
data_Ni5Ge3
_chemical_formula_sum 'Ni10 Ge6'
_space_group_name_H-M_alt 'P 1'
_space_group_IT_number 1
_cell_length_a 6.398
_cell_length_b 6.398
_cell_length_c 6.365
_cell_angle_alpha 116.46
_cell_angle_beta 116.46
_cell_angle_gamma 63.38
loop_
_space_group_symop_operation_xyz
'x,y,z'
loop_
_atom_site_label
_atom_site_fract_x
_atom_site_fract_y
_atom_site_fract_z
Ni1 0.007 0.652 0.174
Ni2 0.073 0.073 0.397
Ni3 0.174 0.483 0.658
Ni4 0.254 0.233 0.237
Ni5 0.348 0.993 0.826
Ni6 0.441 0.406 0.099
Ni7 0.517 0.826 0.342
Ni8 0.594 0.559 0.901
Ni9 0.767 0.746 0.763
Ni10 0.927 0.927 0.603
Ge1 0.156 0.844 0.000
Ge2 0.378 0.622 0.500
Ge3 0.546 0.158 0.705
Ge4 0.671 0.019 0.200
Ge5 0.842 0.454 0.295
Ge6 0.981 0.329 0.800
```

Most intense lines, 10° ≤ 2θ ≤ 90°, in order of rising 2θ:
| 2θ/deg | I/Imax |
| --- | --- |
| 31.31 | 9.5 |
| 31.90 | 8.1 |
| 44.63 | 38.2 |
| 44.76 | 39.7 |
| 44.90 | 36.9 |
| 46.83 | 100.0 |
| 66.58 | 9.7 |
| 66.78 | 9.2 |
| 67.00 | 9.1 |
| 74.87 | 8.5 |
| 85.27 | 8.5 |
| 86.99 | 11.8 |